# PrMgV2O6
Theoretical powder XRD pattern, Cu Kα (λ = 1.5418 Å). Input: a DFT-relaxed cell (PBE+U, Alexandria).
Neutral-atom scattering factors, no anomalous dispersion.

Structure:
a b c (Å): 5.344 5.496 9.360
angles (deg): 90.00 124.59 90.00
Space group Pc (No. 7)
Asymmetric unit:
Pr 0.000 0.201 0.000 (multiplicity 2)
Mg 0.528 0.303 0.498 (multiplicity 2)
V 0.260 0.252 0.750 (multiplicity 2)
V 0.764 0.258 0.252 (multiplicity 2)
O 0.140 0.225 0.499 (multiplicity 2)
O 0.425 0.304 0.001 (multiplicity 2)
O 0.507 0.056 0.311 (multiplicity 2)
O 0.608 0.481 0.806 (multiplicity 2)
O 0.875 0.043 0.693 (multiplicity 2)
O 0.983 0.472 0.193 (multiplicity 2)

Largest 10 diffraction maxima, by angle, 10 to 90 degrees two-theta:
index	Position (°2θ)	d/Å	Rel. int.
0 1 1	19.84	4.474	377
1 0 0	20.22	4.391	388
0 2 0	32.59	2.748	206
1 1 1	32.97	2.717	1000
2 0 -2	33.54	2.672	220
0 1 3	38.67	2.328	207
2 1 -3	39.27	2.294	201
0 0 4	47.18	1.927	155
2 2 -2	47.46	1.916	257
1 3 -3	58.39	1.580	127